Record 1
The following is a theoretical powder X-ray diffraction pattern of KNiCl3. It was derived from a structure optimized by DFT (GGA-PBE), using Cu Kα (weighted mean of Kα1 and Kα2).
Peak positions follow from Bragg's law for the DFT cell and can differ from measured ones.

Crystal structure
a b c (Å): 11.8998 11.8998 5.9764
angles (deg): 90.00 90.00 120.00
Space group P6_3cm (No. 185)
Unique sites:
K 0.0000 0.3347 0.0000 [6 per cell]
Ni 0.0000 0.0000 0.1792 [2 per cell]
Ni 0.3333 0.6667 0.3008 [4 per cell]
Cl 0.0000 0.1585 0.4259 [6 per cell]
Cl 0.1754 0.5078 0.5530 [12 per cell]

Largest 10 diffraction maxima, sorted by position, 2θ from 10° to 80°:
2θ 14.89, I 100
2θ 25.94, I 27
2θ 33.64, I 93
2θ 37.95, I 15
2θ 42.90, I 30
2θ 43.83, I 11
2θ 49.14, I 8
2θ 50.81, I 13
2θ 53.34, I 27
2θ 64.55, I 13


Record 2
The following is a theoretical powder X-ray diffraction pattern of LiB. It was derived from a structure optimized by DFT (GGA-PBE), using Cu Kα (weighted mean of Kα1 and Kα2).
Peak positions follow from Bragg's law for the DFT cell and can differ from measured ones.

Crystal structure
a b c (Å): 3.0793 6.2239 5.6648
angles (deg): 90.00 90.00 90.00
Space group Imma (No. 74)
Unique sites:
Li 0.0000 0.0000 0.0000 [4 per cell]
B 0.0000 0.2500 0.2771 [4 per cell]

Largest 10 diffraction maxima, sorted by position, 2θ from 10° to 80°:
2θ 21.21, I 100
2θ 33.11, I 5
2θ 43.19, I 23
2θ 44.37, I 12
2θ 46.62, I 6
2θ 57.23, I 5
2θ 59.40, I 4
2θ 60.09, I 4
2θ 64.48, I 4
2θ 76.84, I 7


Record 3
The following is a theoretical powder X-ray diffraction pattern of CePmZn2. It was derived from a structure optimized by DFT (GGA-PBE), using Cu Kα (weighted mean of Kα1 and Kα2).
Peak positions follow from Bragg's law for the DFT cell and can differ from measured ones.

Crystal structure
a b c (Å): 7.3065 7.3065 7.3065
angles (deg): 90.00 90.00 90.00
Space group Fm-3m (No. 225)
Unique sites:
Ce 0.0000 0.0000 0.0000 [4 per cell]
Pm 0.0000 0.0000 0.5000 [4 per cell]
Zn 0.2500 0.2500 0.2500 [8 per cell]

Largest 8 diffraction maxima, sorted by position, 2θ from 10° to 80°:
2θ 24.36, I 14
2θ 34.73, I 100
2θ 42.88, I 4
2θ 49.93, I 18
2θ 56.31, I 6
2θ 62.25, I 36
2θ 73.29, I 11
2θ 78.55, I 3


Record 4
The following is a theoretical powder X-ray diffraction pattern of Tm5TeSe4. It was derived from a structure optimized by DFT (GGA-PBE), using Cu Kα (weighted mean of Kα1 and Kα2).
Peak positions follow from Bragg's law for the DFT cell and can differ from measured ones.

Crystal structure
a b c (Å): 4.0828 4.0828 49.8301
angles (deg): 90.00 90.00 120.00
Space group R-3m (No. 166, hexagonal axes)
Unique sites:
Tm 0.0000 0.0000 0.0000 [3 per cell]
Tm 0.0000 0.0000 0.2063 [6 per cell]
Tm 0.0000 0.0000 0.3991 [6 per cell]
Te 0.0000 0.0000 0.5000 [3 per cell]
Se 0.0000 0.0000 0.0967 [6 per cell]
Se 0.0000 0.0000 0.3010 [6 per cell]

Largest 10 diffraction maxima, sorted by position, 2θ from 10° to 80°:
2θ 26.77, I 17
2θ 31.01, I 100
2θ 44.38, I 39
2θ 44.48, I 32
2θ 52.60, I 6
2θ 55.12, I 20
2θ 55.31, I 4
2θ 64.65, I 11
2θ 73.35, I 17
2θ 73.50, I 11


Record 5
The following is a theoretical powder X-ray diffraction pattern of Ac2S3. It was derived from a structure optimized by DFT (GGA-PBE), using Cu Kα (weighted mean of Kα1 and Kα2).
Peak positions follow from Bragg's law for the DFT cell and can differ from measured ones.

Crystal structure
a b c (Å): 9.0767 9.0767 27.0726
angles (deg): 90.00 90.00 90.00
Space group I-42d (No. 122)
Unique sites:
Ac 0.0000 0.0000 0.1644 [8 per cell]
Ac 0.1207 0.7500 0.6250 [8 per cell]
Ac 0.1431 0.7405 0.9617 [16 per cell]
S 0.0707 0.6765 0.1830 [16 per cell]
S 0.0732 0.6827 0.8557 [16 per cell]
S 0.0818 0.6644 0.5168 [16 per cell]

Largest 10 diffraction maxima, sorted by position, 2θ from 10° to 80°:
2θ 24.07, I 100
2θ 31.17, I 51
2θ 31.33, I 21
2θ 37.09, I 30
2θ 37.20, I 18
2θ 44.68, I 23
2θ 47.06, I 23
2θ 51.33, I 15
2θ 51.49, I 13
2θ 63.19, I 19


Record 6
The following is a theoretical powder X-ray diffraction pattern of SbPdSe. It was derived from a structure optimized by DFT (GGA-PBE), using Cu Kα (weighted mean of Kα1 and Kα2).
Peak positions follow from Bragg's law for the DFT cell and can differ from measured ones.

Crystal structure
a b c (Å): 6.4252 6.4252 6.4252
angles (deg): 90.00 90.00 90.00
Space group P2_13 (No. 198)
Unique sites:
Sb 0.1264 0.1264 0.1264 [4 per cell]
Pd 0.2467 0.2533 0.7467 [4 per cell]
Se 0.1323 0.6323 0.8677 [4 per cell]

Largest 10 diffraction maxima, sorted by position, 2θ from 10° to 80°:
2θ 27.77, I 47
2θ 31.13, I 100
2θ 34.18, I 78
2θ 39.68, I 30
2θ 46.90, I 98
2θ 49.12, I 12
2θ 51.27, I 28
2θ 53.35, I 43
2θ 66.71, I 21
2θ 77.14, I 32


Record 7
The following is a theoretical powder X-ray diffraction pattern of Tm5Ni2Bi. It was derived from a structure optimized by DFT (GGA-PBE), using Cu Kα (weighted mean of Kα1 and Kα2).
Peak positions follow from Bragg's law for the DFT cell and can differ from measured ones.

Crystal structure
a b c (Å): 7.5125 7.5125 13.6433
angles (deg): 90.00 90.00 90.00
Space group I4/mcm (No. 140)
Unique sites:
Tm 0.0000 0.0000 0.0000 [4 per cell]
Tm 0.1565 0.3435 0.1331 [16 per cell]
Ni 0.1309 0.3691 0.5000 [8 per cell]
Bi 0.0000 0.0000 0.2500 [4 per cell]

Largest 10 diffraction maxima, sorted by position, 2θ from 10° to 80°:
2θ 27.34, I 39
2θ 31.16, I 60
2θ 33.15, I 100
2θ 33.75, I 21
2θ 35.55, I 61
2θ 37.87, I 88
2θ 42.69, I 24
2θ 55.89, I 24
2θ 58.75, I 33
2θ 67.62, I 30


Record 8
The following is a theoretical powder X-ray diffraction pattern of Cu2H3ClO3. It was derived from a structure optimized by DFT (GGA-PBE), using Cu Kα (weighted mean of Kα1 and Kα2).
Peak positions follow from Bragg's law for the DFT cell and can differ from measured ones.

Crystal structure
a b c (Å): 6.9168 6.9168 14.0036
angles (deg): 90.00 90.00 120.00
Space group R-3m (No. 166, hexagonal axes)
Unique sites:
Cu 0.0000 0.0000 0.0000 [3 per cell]
Cu 0.0000 0.5000 0.5000 [9 per cell]
H 0.0647 0.5323 0.2604 [18 per cell]
Cl 0.0000 0.0000 0.3116 [6 per cell]
O 0.0835 0.5418 0.7721 [18 per cell]

Largest 10 diffraction maxima, sorted by position, 2θ from 10° to 80°:
2θ 16.09, I 100
2θ 19.01, I 14
2θ 30.52, I 26
2θ 32.21, I 85
2θ 32.52, I 20
2θ 38.58, I 12
2θ 39.60, I 64
2θ 49.66, I 28
2θ 52.95, I 31
2θ 67.40, I 18